[1]
Structure and theoretical X-ray powder pattern of Tb12Cu6Hg (the GGA-PBE geometry in Alexandria; Cu Kα (λ = 1.5418 Å)).

Cell and atoms:
```
Tb12Cu6Hg
1.0
-4.936 4.936 4.936
4.936 -4.936 4.936
4.936 4.936 -4.936
Tb Cu Hg
12 6 1
Direct
0.106 0.811 0.295 Tb
0.189 0.295 0.484 Tb
0.189 0.705 0.894 Tb
0.295 0.106 0.811 Tb
0.295 0.484 0.189 Tb
0.484 0.189 0.295 Tb
0.516 0.811 0.705 Tb
0.705 0.516 0.811 Tb
0.705 0.894 0.189 Tb
0.811 0.295 0.106 Tb
0.811 0.705 0.516 Tb
0.894 0.189 0.705 Tb
0.124 0.624 0.500 Cu
0.376 0.500 0.876 Cu
0.500 0.124 0.624 Cu
0.500 0.876 0.376 Cu
0.624 0.500 0.124 Cu
0.876 0.376 0.500 Cu
0.000 0.000 0.000 Hg
```

Peak list (12 most intense, 15 to 90 degrees two-theta, by angle)
two_theta, I/Imax
28.6, 33
31.4, 48
34.0, 100
36.4, 21
38.7, 11
46.9, 19
54.2, 31
55.9, 11
57.6, 36
67.0, 20
83.0, 14
84.4, 15

=====

[2]
Structure and theoretical X-ray powder pattern of Tb6Cu5Hg (the GGA-PBE geometry in Alexandria; Cu Kα (λ = 1.5418 Å)).

Cell and atoms:
```
Tb6Cu5Hg
1.0
2.499 -7.484 0.000
2.499 7.484 0.000
0.000 0.000 7.073
Tb Cu Hg
6 5 1
Direct
0.000 0.000 0.238 Tb
0.000 0.000 0.762 Tb
0.329 0.671 0.245 Tb
0.329 0.671 0.755 Tb
0.671 0.329 0.245 Tb
0.671 0.329 0.755 Tb
0.165 0.835 0.000 Cu
0.165 0.835 0.500 Cu
0.500 0.500 0.000 Cu
0.835 0.165 0.000 Cu
0.835 0.165 0.500 Cu
0.500 0.500 0.500 Hg
```

Peak list (12 most intense, 15 to 90 degrees two-theta, by angle)
two_theta, I/Imax
22.6, 2
25.2, 9
35.9, 100
44.4, 3
51.8, 17
58.4, 3
64.6, 23
64.7, 11
76.2, 9
76.4, 2
87.2, 8
87.3, 8

=====

[3]
Structure and theoretical X-ray powder pattern of Tb4Cu2Hg5 (the GGA-PBE geometry in Alexandria; Cu Kα (λ = 1.5418 Å)).

Cell and atoms:
```
Tb4Cu2Hg5
1.0
7.535 0.000 0.000
0.000 3.707 0.000
-0.430 0.000 9.414
Tb Cu Hg
4 2 5
Direct
0.183 0.000 0.354 Tb
0.234 0.000 0.929 Tb
0.766 0.000 0.071 Tb
0.817 0.000 0.646 Tb
0.063 0.500 0.125 Cu
0.937 0.500 0.875 Cu
0.160 0.500 0.644 Hg
0.438 0.500 0.168 Hg
0.500 0.500 0.500 Hg
0.562 0.500 0.832 Hg
0.840 0.500 0.356 Hg
```

Peak list (12 most intense, 15 to 90 degrees two-theta, by angle)
two_theta, I/Imax
31.4, 61
32.7, 88
33.3, 100
33.9, 71
35.6, 56
35.8, 42
36.4, 35
36.6, 29
37.6, 31
38.2, 45
38.6, 30
49.2, 46

=====

[4]
Structure and theoretical X-ray powder pattern of CuHgTe2 (the GGA-PBE geometry in Alexandria; Cu Kα (λ = 1.5418 Å)).

Cell and atoms:
```
CuHgTe2
1.0
3.111 -3.110 0.000
3.111 3.110 0.000
-0.001 0.000 6.323
Cu Hg Te
1 1 2
Direct
0.000 0.000 0.000 Cu
0.499 0.501 0.500 Hg
0.500 0.001 0.212 Te
0.999 0.500 0.788 Te
```

Peak list (12 most intense, 15 to 90 degrees two-theta, by angle)
two_theta, I/Imax
20.2, 10
24.7, 100
32.1, 14
34.9, 9
40.7, 49
41.0, 27
47.9, 14
48.5, 32
59.4, 9
64.8, 11
74.5, 16
80.1, 7